The following is a theoretical X-ray diffraction stick pattern of Tb4SmTh2. It was derived from a cell relaxed with GGA-PBE, using λ = 1.5418 Å (Cu Kα).
No peak broadening, texture or thermal motion is included.

Cell and atoms:
```
data_Tb4SmTh2
_chemical_formula_sum 'Tb4 Sm1 Th2'
_space_group_name_H-M_alt 'P 1'
_space_group_IT_number 1
_cell_length_a 3.5160
_cell_length_b 8.7787
_cell_length_c 8.8574
_cell_angle_alpha 119.34
_cell_angle_beta 90.03
_cell_angle_gamma 101.49
loop_
_space_group_symop_operation_xyz
'x,y,z'
loop_
_atom_site_label
_atom_site_type_symbol
_atom_site_fract_x
_atom_site_fract_y
_atom_site_fract_z
Tb1 Tb 0.1466 0.2908 0.3468
Tb2 Tb 0.2041 0.4105 0.7946
Tb3 Tb 0.7959 0.5895 0.2054
Tb4 Tb 0.8534 0.7092 0.6532
Sm1 Sm 0.5000 0.0000 0.5000
Th1 Th 0.4316 0.8615 0.0629
Th2 Th 0.5684 0.1385 0.9371
```

Main lines, low angle first (10° ≤ 2θ ≤ 90°):
| 2theta | I_rel |
| --- | --- |
| 29.93 | 30 |
| 30.98 | 51 |
| 31.14 | 100 |
| 31.85 | 49 |
| 33.02 | 44 |
| 61.81 | 22 |